For Ho2Er2SiBr5, a DFT-relaxed cell (GGA-PBE, OQMD) gives the simulated X-ray diffraction stick pattern in this record (Cu Kα (λ = 1.5418 Å)).
No peak broadening, texture or thermal motion is included.

Structural model:
Cell lengths 18.019, 4.010, 8.315 Å; angles 90.00, 102.42, 90.00 degrees
Space group C2/m (No. 12)
Unique sites:
Ho 0.000 0.000 0.221 (multiplicity 4)
Er 0.150 0.500 0.078 (multiplicity 4)
Si 0.000 0.500 0.000 (multiplicity 2)
Br 0.000 0.500 0.500 (multiplicity 2)
Br 0.167 0.000 0.328 (multiplicity 4)
Br 0.174 0.000 0.841 (multiplicity 4)

Peak list (10 most intense, 2θ from 5° to 70°, by angle)
(hkl)	Position (°2θ)	intensity
0 0 1	10.9	47
3 1 1	30.4	15
6 0 0	30.5	48
1 1 -2	31.0	100
5 1 0	33.9	17
2 0 -4	43.5	17
5 1 2	43.8	35
7 1 -2	44.3	32
0 2 0	45.2	18
6 2 0	55.5	19